# 1
LiFeCo3O8: calculated powder XRD pattern (Cu Kα, 1.54184 Å), based on a crystal structure in Alexandria, relaxed with PBE+U.
No peak broadening, texture or thermal motion is included.

Crystal structure
Cell lengths 5.9605, 5.9605, 5.9605 Å; angles 57.88, 57.88, 57.88 degrees
Positions (direct):
Li (0.0000, 0.0000, 0.0000)
Fe (0.5000, 0.5000, 0.5000)
Co (0.0000, 0.0000, 0.5000)
Co (0.0000, 0.5000, 0.0000)
Co (0.5000, 0.0000, 0.0000)
O (0.2119, 0.7433, 0.7433)
O (0.2308, 0.2308, 0.2308)
O (0.2567, 0.2567, 0.7881)
O (0.2567, 0.7881, 0.2567)
O (0.7433, 0.2119, 0.7433)
O (0.7433, 0.7433, 0.2119)
O (0.7692, 0.7692, 0.7692)
O (0.7881, 0.2567, 0.2567)

Principal peaks in the range 2θ from 15° to 90°, by angle:
2θ (°), I (rel.)
17.94, 1000
36.48, 298
38.01, 81
43.70, 449
47.60, 82
57.00, 148
62.38, 110
64.63, 121
67.68, 124
76.51, 64
81.05, 53
81.29, 54

# 2
Li10FeCo9O20: calculated powder XRD pattern (Cu Kα, 1.54184 Å), based on a crystal structure in Alexandria, relaxed with PBE+U.
No peak broadening, texture or thermal motion is included.

Crystal structure
Cell lengths 5.0121, 7.5415, 9.7401 Å; angles 79.99, 85.04, 71.77 degrees
Positions (direct):
Li (0.0422, 0.1505, 0.2497)
Li (0.1440, 0.4526, 0.7510)
Li (0.2489, 0.7517, 0.2496)
Li (0.3528, 0.0482, 0.7486)
Li (0.4561, 0.3495, 0.2498)
Li (0.5439, 0.6505, 0.7502)
Li (0.6472, 0.9518, 0.2514)
Li (0.7511, 0.2483, 0.7504)
Li (0.8560, 0.5474, 0.2490)
Li (0.9578, 0.8495, 0.7503)
Fe (0.5000, 0.5000, 0.5000)
Co (0.0000, 0.0000, 0.0000)
Co (0.1044, 0.2965, 0.4991)
Co (0.2004, 0.6000, 0.0002)
Co (0.2993, 0.9011, 0.4998)
Co (0.3962, 0.2021, 0.0008)
Co (0.6038, 0.7979, 0.9992)
Co (0.7007, 0.0989, 0.5002)
Co (0.7996, 0.4000, 0.9998)
Co (0.8956, 0.7035, 0.5009)
O (0.0247, 0.0741, 0.6098)
O (0.0587, 0.2259, 0.8888)
O (0.1113, 0.3848, 0.1110)
O (0.1813, 0.5185, 0.3858)
O (0.2349, 0.6770, 0.6120)
O (0.2632, 0.8258, 0.8894)
O (0.3144, 0.9820, 0.1130)
O (0.3893, 0.1157, 0.3884)
O (0.4404, 0.2711, 0.6123)
O (0.4741, 0.4260, 0.8904)
O (0.5259, 0.5740, 0.1096)
O (0.5596, 0.7289, 0.3877)
O (0.6106, 0.8843, 0.6116)
O (0.6856, 0.0180, 0.8870)
O (0.7368, 0.1742, 0.1106)
O (0.7651, 0.3230, 0.3880)
O (0.8187, 0.4815, 0.6142)
O (0.8887, 0.6152, 0.8890)
O (0.9413, 0.7741, 0.1112)
O (0.9753, 0.9259, 0.3902)

Principal peaks in the range 2θ from 15° to 90°, by angle:
2θ (°), I (rel.)
18.51, 1000
36.34, 271
37.05, 128
38.06, 95
43.94, 484
44.75, 229
48.25, 89
57.91, 95
63.84, 192
63.93, 67
65.11, 63
65.23, 63

# 3
Li10Fe3Co7O20: calculated powder XRD pattern (Cu Kα, 1.54184 Å), based on a crystal structure in Alexandria, relaxed with PBE+U.
No peak broadening, texture or thermal motion is included.

Crystal structure
Cell lengths 5.7776, 2.8499, 20.4480 Å; angles 90.00, 97.06, 90.00 degrees
Positions (direct):
Li (0.0000, 0.0000, 0.0000)
Li (0.0000, 0.5000, 0.5000)
Li (0.1997, 0.0000, 0.4006)
Li (0.2017, 0.5000, 0.8986)
Li (0.4009, 0.0000, 0.7993)
Li (0.4020, 0.5000, 0.3017)
Li (0.5980, 0.5000, 0.6983)
Li (0.5991, 0.0000, 0.2007)
Li (0.7983, 0.5000, 0.1014)
Li (0.8003, 0.0000, 0.5994)
Fe (0.0996, 0.0000, 0.2011)
Fe (0.5000, 0.0000, 0.0000)
Fe (0.9004, 0.0000, 0.7989)
Co (0.1014, 0.5000, 0.6988)
Co (0.2998, 0.0000, 0.5992)
Co (0.2997, 0.5000, 0.1008)
Co (0.5000, 0.5000, 0.5000)
Co (0.7002, 0.0000, 0.4008)
Co (0.7003, 0.5000, 0.8992)
Co (0.8986, 0.5000, 0.3012)
O (0.0717, 0.0000, 0.1044)
O (0.0743, 0.5000, 0.6035)
O (0.1269, 0.0000, 0.2978)
O (0.1326, 0.5000, 0.7948)
O (0.2702, 0.5000, 0.0050)
O (0.2741, 0.0000, 0.5039)
O (0.3258, 0.0000, 0.6944)
O (0.3316, 0.5000, 0.1969)
O (0.4747, 0.0000, 0.9031)
O (0.4746, 0.5000, 0.4048)
O (0.5253, 0.0000, 0.0969)
O (0.5254, 0.5000, 0.5952)
O (0.6684, 0.5000, 0.8031)
O (0.6742, 0.0000, 0.3056)
O (0.7259, 0.0000, 0.4961)
O (0.7298, 0.5000, 0.9950)
O (0.8674, 0.5000, 0.2052)
O (0.8731, 0.0000, 0.7022)
O (0.9257, 0.5000, 0.3965)
O (0.9283, 0.0000, 0.8956)

Principal peaks in the range 2θ from 15° to 90°, by angle:
2θ (°), I (rel.)
18.69, 1000
36.96, 380
37.90, 52
38.60, 134
44.67, 688
48.81, 121
58.81, 140
64.53, 182
65.49, 186
68.77, 134
82.75, 85
84.49, 51

# 4
Li5Fe5Co2O12: calculated powder XRD pattern (Cu Kα, 1.54184 Å), based on a crystal structure in Alexandria, relaxed with PBE+U.
No peak broadening, texture or thermal motion is included.

Crystal structure
Cell lengths 5.1562, 5.1562, 9.8232 Å; angles 94.74, 94.74, 119.14 degrees
Positions (direct):
Li (0.0000, 0.0000, 0.0000)
Li (0.2481, 0.2584, 0.7576)
Li (0.3967, 0.0747, 0.2381)
Li (0.7416, 0.7519, 0.2424)
Li (0.9253, 0.6033, 0.7619)
Fe (0.0744, 0.4029, 0.2381)
Fe (0.1611, 0.8389, 0.5000)
Fe (0.4992, 0.5008, 0.5000)
Fe (0.5971, 0.9256, 0.7619)
Fe (0.6572, 0.3428, 0.0000)
Co (0.3301, 0.6699, 0.0000)
Co (0.8321, 0.1679, 0.5000)
O (0.0254, 0.6841, 0.1249)
O (0.1242, 0.1299, 0.3774)
O (0.2399, 0.5715, 0.6206)
O (0.3159, 0.9746, 0.8751)
O (0.3667, 0.3780, 0.1239)
O (0.4285, 0.7601, 0.3794)
O (0.5262, 0.2006, 0.6139)
O (0.6220, 0.6333, 0.8761)
O (0.7106, 0.0681, 0.1283)
O (0.7994, 0.4738, 0.3861)
O (0.8701, 0.8758, 0.6226)
O (0.9319, 0.2894, 0.8717)

Principal peaks in the range 2θ from 15° to 90°, by angle:
2θ (°), I (rel.)
18.31, 381
19.96, 260
20.72, 174
23.11, 339
31.83, 137
36.92, 247
42.33, 524
43.17, 1000
61.80, 288
62.31, 272
62.70, 278
78.58, 139

# 5
Li2FeCo2O6: calculated powder XRD pattern (Cu Kα, 1.54184 Å), based on a crystal structure in Alexandria, relaxed with PBE+U.
No peak broadening, texture or thermal motion is included.

Crystal structure
Cell lengths 4.9924, 5.0210, 10.2536 Å; angles 97.45, 96.25, 119.17 degrees
Positions (direct):
Li (0.0000, 0.0000, 0.0000)
Li (0.1356, 0.1130, 0.5157)
Li (0.3079, 0.6288, 0.0060)
Li (0.4769, 0.7801, 0.5116)
Fe (0.2477, 0.8928, 0.7577)
Fe (0.7904, 0.4330, 0.2525)
Co (0.1208, 0.0953, 0.2573)
Co (0.4586, 0.7677, 0.2563)
Co (0.5868, 0.5538, 0.7568)
Co (0.9160, 0.2230, 0.7555)
O (0.0951, 0.3941, 0.1491)
O (0.1857, 0.8211, 0.3644)
O (0.2103, 0.4955, 0.6552)
O (0.2584, 0.2655, 0.8671)
O (0.3913, 0.0344, 0.1528)
O (0.4904, 0.4844, 0.3566)
O (0.5436, 0.1787, 0.6543)
O (0.6453, 0.9352, 0.8560)
O (0.7449, 0.7409, 0.1498)
O (0.8436, 0.1304, 0.3584)
O (0.8756, 0.8776, 0.6444)
O (0.9588, 0.5980, 0.8594)

Principal peaks in the range 2θ from 15° to 90°, by angle:
2θ (°), I (rel.)
17.80, 1000
36.05, 130
36.35, 77
36.47, 84
36.69, 77
38.32, 89
38.38, 76
42.48, 107
43.06, 83
45.27, 86
48.10, 81
48.44, 76

# 6
Li10Fe9CoO20: calculated powder XRD pattern (Cu Kα, 1.54184 Å), based on a crystal structure in Alexandria, relaxed with PBE+U.
No peak broadening, texture or thermal motion is included.

Crystal structure
Cell lengths 5.8235, 2.8742, 20.6096 Å; angles 90.00, 97.08, 90.00 degrees
Positions (direct):
Li (0.0000, 0.0000, 0.0000)
Li (0.0000, 0.5000, 0.5000)
Li (0.2000, 0.0000, 0.3992)
Li (0.2011, 0.5000, 0.9014)
Li (0.3990, 0.5000, 0.2999)
Li (0.4001, 0.0000, 0.8000)
Li (0.5999, 0.0000, 0.2000)
Li (0.6010, 0.5000, 0.7001)
Li (0.7989, 0.5000, 0.0986)
Li (0.8000, 0.0000, 0.6008)
Fe (0.0995, 0.0000, 0.1992)
Fe (0.1015, 0.5000, 0.7003)
Fe (0.3014, 0.0000, 0.6003)
Fe (0.3017, 0.5000, 0.0991)
Fe (0.5000, 0.5000, 0.5000)
Fe (0.6983, 0.5000, 0.9009)
Fe (0.6986, 0.0000, 0.3997)
Fe (0.8985, 0.5000, 0.2997)
Fe (0.9005, 0.0000, 0.8008)
Co (0.5000, 0.0000, 0.0000)
O (0.0702, 0.5000, 0.6039)
O (0.0709, 0.0000, 0.1027)
O (0.1288, 0.0000, 0.2956)
O (0.1300, 0.5000, 0.7966)
O (0.2714, 0.0000, 0.5042)
O (0.2754, 0.5000, 0.0034)
O (0.3292, 0.5000, 0.1952)
O (0.3327, 0.0000, 0.6967)
O (0.4686, 0.0000, 0.9049)
O (0.4700, 0.5000, 0.4034)
O (0.5300, 0.5000, 0.5966)
O (0.5314, 0.0000, 0.0951)
O (0.6673, 0.0000, 0.3033)
O (0.6708, 0.5000, 0.8048)
O (0.7246, 0.5000, 0.9966)
O (0.7286, 0.0000, 0.4958)
O (0.8700, 0.5000, 0.2034)
O (0.8712, 0.0000, 0.7044)
O (0.9291, 0.0000, 0.8973)
O (0.9298, 0.5000, 0.3961)

Principal peaks in the range 2θ from 15° to 90°, by angle:
2θ (°), I (rel.)
18.54, 1000
36.64, 385
37.60, 50
38.27, 128
44.29, 717
48.40, 123
58.30, 140
63.96, 191
64.88, 194
68.13, 134
81.93, 88
83.68, 50

# 7
Li8Fe3Co7O20: calculated powder XRD pattern (Cu Kα, 1.54184 Å), based on a crystal structure in Alexandria, relaxed with PBE+U.
No peak broadening, texture or thermal motion is included.

Crystal structure
Cell lengths 5.7813, 2.8418, 20.6146 Å; angles 90.00, 96.10, 90.00 degrees
Positions (direct):
Li (0.0000, 0.0000, 0.0000)
Li (0.0158, 0.5000, 0.4980)
Li (0.2176, 0.5000, 0.8926)
Li (0.2382, 0.0000, 0.3869)
Li (0.5655, 0.0000, 0.2056)
Li (0.5845, 0.5000, 0.7025)
Li (0.7849, 0.5000, 0.0977)
Li (0.8031, 0.0000, 0.5971)
Fe (0.1065, 0.5000, 0.6988)
Fe (0.5113, 0.5000, 0.4978)
Fe (0.6953, 0.5000, 0.8978)
Co (0.0920, 0.0000, 0.1971)
Co (0.2895, 0.5000, 0.0975)
Co (0.3047, 0.0000, 0.5975)
Co (0.4965, 0.0000, 0.9992)
Co (0.7111, 0.0000, 0.3968)
Co (0.9003, 0.0000, 0.7982)
Co (0.9006, 0.5000, 0.2968)
O (0.0623, 0.0000, 0.1027)
O (0.0765, 0.5000, 0.6024)
O (0.1125, 0.0000, 0.2903)
O (0.1137, 0.5000, 0.7941)
O (0.2700, 0.5000, 0.0028)
O (0.2810, 0.0000, 0.5024)
O (0.3112, 0.5000, 0.1903)
O (0.3286, 0.0000, 0.6907)
O (0.4727, 0.0000, 0.9060)
O (0.4913, 0.5000, 0.4033)
O (0.5154, 0.0000, 0.0939)
O (0.5326, 0.5000, 0.5943)
O (0.6871, 0.5000, 0.8025)
O (0.6889, 0.0000, 0.3033)
O (0.7247, 0.5000, 0.9944)
O (0.7439, 0.0000, 0.4917)
O (0.8652, 0.5000, 0.2040)
O (0.8735, 0.0000, 0.7055)
O (0.9280, 0.0000, 0.8912)
O (0.9373, 0.5000, 0.3893)

Principal peaks in the range 2θ from 15° to 90°, by angle:
2θ (°), I (rel.)
18.48, 1000
36.86, 112
37.08, 237
38.55, 77
44.18, 203
44.73, 394
48.45, 69
57.93, 51
58.68, 92
63.82, 105
65.56, 105
65.72, 54

# 8
Li3FeCo4O8: calculated powder XRD pattern (Cu Kα, 1.54184 Å), based on a crystal structure in Alexandria, relaxed with PBE+U.
No peak broadening, texture or thermal motion is included.

Crystal structure
Cell lengths 5.8808, 5.8990, 5.9423 Å; angles 119.44, 119.56, 90.30 degrees
Positions (direct):
Li (0.0000, 0.0000, 0.0000)
Li (0.0000, 0.0000, 0.5000)
Li (0.5000, 0.0000, 0.0000)
Fe (0.5000, 0.5000, 0.5000)
Co (0.0000, 0.5000, 0.0000)
Co (0.0000, 0.5000, 0.5000)
Co (0.5000, 0.0000, 0.5000)
Co (0.5000, 0.5000, 0.0000)
O (0.2328, 0.7331, 0.9975)
O (0.2457, 0.2838, 0.0188)
O (0.2594, 0.2597, 0.5087)
O (0.2642, 0.7526, 0.5159)
O (0.7358, 0.2474, 0.4841)
O (0.7406, 0.7403, 0.4913)
O (0.7543, 0.7162, 0.9812)
O (0.7672, 0.2669, 0.0025)

Principal peaks in the range 2θ from 15° to 90°, by angle:
2θ (°), I (rel.)
18.29, 1000
35.14, 180
35.68, 130
37.04, 143
37.16, 414
42.50, 498
43.34, 463
43.58, 457
62.20, 133
62.45, 266
62.54, 133
63.25, 127

# 9
Li2FeCo2O6: calculated powder XRD pattern (Cu Kα, 1.54184 Å), based on a crystal structure in Alexandria, relaxed with PBE+U.
No peak broadening, texture or thermal motion is included.

Crystal structure
Cell lengths 4.9684, 9.8426, 4.9728 Å; angles 90.00, 119.84, 90.00 degrees
Positions (direct):
Li (0.0022, 0.0000, 0.3347)
Li (0.3339, 0.5024, 0.3312)
Li (0.6661, 0.0024, 0.6688)
Li (0.9978, 0.5000, 0.6653)
Fe (0.3405, 0.2443, 0.0001)
Fe (0.6595, 0.7443, 0.9999)
Co (0.0008, 0.2618, 0.3308)
Co (0.3318, 0.7607, 0.3332)
Co (0.6682, 0.2607, 0.6668)
Co (0.9992, 0.7618, 0.6692)
O (0.0047, 0.3608, 0.0048)
O (0.0210, 0.6536, 0.3626)
O (0.3042, 0.6511, 0.9959)
O (0.3223, 0.3634, 0.6481)
O (0.3230, 0.8631, 0.6563)
O (0.3315, 0.1526, 0.3569)
O (0.6685, 0.6526, 0.6431)
O (0.6770, 0.3631, 0.3437)
O (0.6777, 0.8634, 0.3519)
O (0.6958, 0.1511, 0.0041)
O (0.9790, 0.1536, 0.6374)
O (0.9953, 0.8608, 0.9952)

Principal peaks in the range 2θ from 15° to 90°, by angle:
2θ (°), I (rel.)
18.02, 1000
36.09, 47
37.26, 241
37.33, 129
40.64, 205
45.78, 397
52.30, 118
59.93, 186
64.88, 98
65.06, 49
67.95, 83
78.07, 56